(1)
Diffraction record for Dy2TlPd6. The powder XRD pattern is simulated, not measured: it uses a PBE-relaxed structure and Cu Kα (λ = 1.5418 Å).
Lines closer than 0.1° are merged.

Largest 10 diffraction maxima, in order of rising 2θ, 10 to 90 degrees two-theta:
2θ = 23.78°, intensity 30
2θ = 26.46°, intensity 34
2θ = 39.18°, intensity 100
2θ = 39.28°, intensity 16
2θ = 43.05°, intensity 19
2θ = 44.11°, intensity 17
2θ = 49.34°, intensity 13
2θ = 63.33°, intensity 12
2θ = 76.31°, intensity 16
2θ = 77.81°, intensity 12

Cell lengths 7.747, 7.747, 7.747 Å; angles 152.41, 115.98, 71.07 degrees
Positions (direct):
1 Dy 0.161 0.161 0.000
2 Dy 0.839 0.839 0.000
3 Tl 0.500 0.500 0.000
4 Pd 0.097 0.334 0.763
5 Pd 0.242 0.000 0.242
6 Pd 0.430 0.666 0.763
7 Pd 0.570 0.334 0.237
8 Pd 0.758 0.000 0.758
9 Pd 0.903 0.666 0.237

=====

(2)
Diffraction record for Dy12TlPd5. The powder XRD pattern is simulated, not measured: it uses a PBE-relaxed structure and Cu Kα (λ = 1.5418 Å).
Lines closer than 0.1° are merged.

Largest 10 diffraction maxima, in order of rising 2θ, 10 to 90 degrees two-theta:
2θ = 28.98°, intensity 19
2θ = 29.66°, intensity 26
2θ = 31.61°, intensity 100
2θ = 33.57°, intensity 76
2θ = 34.12°, intensity 82
2θ = 34.69°, intensity 42
2θ = 34.95°, intensity 49
2θ = 37.85°, intensity 34
2θ = 58.03°, intensity 23
2θ = 59.19°, intensity 38

Cell lengths 8.509, 8.509, 8.509 Å; angles 112.07, 110.57, 105.83 degrees
Positions (direct):
1 Dy 0.036 0.226 0.810
2 Dy 0.180 0.285 0.465
3 Dy 0.180 0.715 0.894
4 Dy 0.326 0.026 0.701
5 Dy 0.326 0.625 0.299
6 Dy 0.417 0.226 0.190
7 Dy 0.583 0.774 0.810
8 Dy 0.674 0.375 0.701
9 Dy 0.674 0.974 0.299
10 Dy 0.820 0.285 0.106
11 Dy 0.820 0.715 0.535
12 Dy 0.964 0.774 0.190
13 Tl 0.500 0.500 0.000
14 Pd 0.000 0.000 0.000
15 Pd 0.133 0.633 0.500
16 Pd 0.349 0.000 0.349
17 Pd 0.651 0.000 0.651
18 Pd 0.867 0.367 0.500

=====

(3)
Diffraction record for DyTm3Pd4. The powder XRD pattern is simulated, not measured: it uses a PBE-relaxed structure and Cu Kα (λ = 1.5418 Å).
Lines closer than 0.1° are merged.

Largest 10 diffraction maxima, in order of rising 2θ, 10 to 90 degrees two-theta:
2θ = 36.29°, intensity 52
2θ = 36.77°, intensity 100
2θ = 52.27°, intensity 18
2θ = 53.69°, intensity 8
2θ = 65.60°, intensity 37
2θ = 66.54°, intensity 17
2θ = 77.06°, intensity 6
2θ = 78.22°, intensity 11
2θ = 88.28°, intensity 8
2θ = 88.57°, intensity 8

Cell lengths 4.950, 4.950, 6.829 Å; angles 90.00, 90.00, 90.00 degrees
Positions (direct):
1 Dy 0.000 0.000 0.000
2 Tm 0.000 0.000 0.500
3 Tm 0.500 0.500 0.000
4 Tm 0.500 0.500 0.500
5 Pd 0.000 0.500 0.253
6 Pd 0.000 0.500 0.747
7 Pd 0.500 0.000 0.253
8 Pd 0.500 0.000 0.747